LaPr5In6: simulated X-ray diffraction stick pattern (Cu Ka), based on a structure optimized by DFT (GGA-PBE).

Largest 9 diffraction maxima, in order of rising 2θ, 2θ = 10–90°:
two_theta  I/Imax
22.73  1
32.36  100
46.41  18
52.28  1
57.71  37
67.73  11
77.04  11
77.13  5
86.08  4

```
data_LaPr5In6
_chemical_formula_sum 'La2 Pr10 In12'
_symmetry_space_group_name_H-M 'I m m m'
_symmetry_Int_Tables_number 71
_symmetry_space_group_name_Hall '-I 2 2'
_cell_length_a 5.5337
_cell_length_b 7.8200
_cell_length_c 16.6144
_cell_angle_alpha 90.00
_cell_angle_beta 90.00
_cell_angle_gamma 90.00
loop_
_atom_site_label
_atom_site_type_symbol
_atom_site_fract_x
_atom_site_fract_y
_atom_site_fract_z
_atom_site_occupancy
La1 La 0.0000 0.0000 0.0000 1
Pr1 Pr 0.0000 0.0000 0.3320 1
Pr2 Pr 0.0000 0.5000 0.0000 1
Pr3 Pr 0.0000 0.5000 0.3360 1
In1 In 0.0000 0.2436 0.5000 1
In2 In 0.0000 0.2532 0.1681 1
```